This entry pairs a crystal structure of Ac3Mg3Tl8 with its theoretical powder X-ray diffraction pattern. Radiation: CuKα. Structure: a cell relaxed with PBE.
No peak broadening, texture or thermal motion is included.

Most intense lines, 2θ from 10° to 90°, sorted by position:
2θ/deg	I_rel
24.68	19.6
29.06	35.7
29.16	100.0
30.12	59.5
31.70	69.0
36.19	20.1
36.51	42.8
38.58	21.4
42.88	22.7
57.79	24.9

Structure:
Cell lengths 9.618, 9.618, 9.618 Å; angles 150.35, 104.83, 82.82 degrees
Element x y z (fractional)
Ac (0.000, 0.000, 0.000)
Ac (0.293, 0.293, 0.000)
Ac (0.707, 0.707, 0.000)
Mg (0.325, 0.500, 0.825)
Mg (0.500, 0.000, 0.500)
Mg (0.675, 0.500, 0.175)
Tl (0.008, 0.643, 0.365)
Tl (0.160, 0.861, 0.299)
Tl (0.278, 0.643, 0.635)
Tl (0.439, 0.139, 0.299)
Tl (0.561, 0.861, 0.701)
Tl (0.722, 0.357, 0.365)
Tl (0.840, 0.139, 0.701)
Tl (0.992, 0.357, 0.635)

=====

This entry pairs a crystal structure of Cs2HgTe3 with its theoretical powder X-ray diffraction pattern. Radiation: CuKα. Structure: a cell relaxed with PBE.
No peak broadening, texture or thermal motion is included.

Most intense lines, 2θ from 10° to 90°, sorted by position:
2θ/deg	I_rel
11.03	83.7
21.26	35.3
24.66	100.0
26.90	66.8
27.14	29.0
27.38	80.8
28.63	52.6
32.64	38.5
34.45	67.9
45.39	29.9

Structure:
Cell lengths 5.206, 24.943, 8.471 Å; angles 90.00, 90.05, 90.00 degrees
Element x y z (fractional)
Cs (0.249, 0.070, 0.160)
Cs (0.249, 0.215, 0.726)
Cs (0.249, 0.285, 0.226)
Cs (0.249, 0.430, 0.660)
Cs (0.751, 0.570, 0.340)
Cs (0.751, 0.715, 0.774)
Cs (0.751, 0.785, 0.274)
Cs (0.751, 0.930, 0.840)
Hg (0.250, 0.559, 0.995)
Hg (0.250, 0.941, 0.495)
Hg (0.750, 0.059, 0.505)
Hg (0.750, 0.441, 0.005)
Te (0.250, 0.040, 0.682)
Te (0.250, 0.460, 0.182)
Te (0.251, 0.668, 0.107)
Te (0.251, 0.677, 0.432)
Te (0.251, 0.823, 0.932)
Te (0.251, 0.832, 0.607)
Te (0.749, 0.168, 0.393)
Te (0.749, 0.177, 0.068)
Te (0.749, 0.323, 0.568)
Te (0.749, 0.332, 0.893)
Te (0.750, 0.540, 0.818)
Te (0.750, 0.960, 0.318)

=====

This entry pairs a crystal structure of EuZn2Pb with its theoretical powder X-ray diffraction pattern. Radiation: CuKα. Structure: a cell relaxed with PBE.
No peak broadening, texture or thermal motion is included.

Most intense lines, 2θ from 10° to 90°, sorted by position:
2θ/deg	I_rel
19.72	16.7
27.34	15.6
33.94	100.0
39.06	34.1
40.06	15.9
56.42	11.6
57.18	22.3
67.50	27.0
68.87	12.7
71.43	11.5

Structure:
Cell lengths 4.613, 4.613, 4.502 Å; angles 90.00, 90.00, 90.00 degrees
Element x y z (fractional)
Eu (0.000, 0.000, 0.000)
Zn (0.000, 0.500, 0.500)
Zn (0.500, 0.000, 0.500)
Pb (0.500, 0.500, 0.000)

=====

This entry pairs a crystal structure of Mg2Cd7Ag2 with its theoretical powder X-ray diffraction pattern. Radiation: CuKα. Structure: a cell relaxed with PBE.
No peak broadening, texture or thermal motion is included.

Most intense lines, 2θ from 10° to 90°, sorted by position:
2θ/deg	I_rel
12.14	36.2
31.29	47.1
32.11	34.3
35.11	47.4
36.21	57.4
36.85	89.7
37.51	77.5
37.78	94.6
38.07	100.0
40.54	34.1

Structure:
Cell lengths 5.687, 5.687, 7.445 Å; angles 97.63, 97.63, 97.37 degrees
Element x y z (fractional)
Mg (0.185, 0.815, 0.000)
Mg (0.815, 0.185, 0.000)
Cd (0.030, 0.407, 0.686)
Cd (0.349, 0.349, 0.086)
Cd (0.407, 0.030, 0.686)
Cd (0.500, 0.500, 0.500)
Cd (0.593, 0.970, 0.314)
Cd (0.651, 0.651, 0.914)
Cd (0.970, 0.593, 0.314)
Ag (0.107, 0.107, 0.343)
Ag (0.893, 0.893, 0.657)

=====

This entry pairs a crystal structure of TmSc5Cd2 with its theoretical powder X-ray diffraction pattern. Radiation: CuKα. Structure: a cell relaxed with PBE.
No peak broadening, texture or thermal motion is included.

Most intense lines, 2θ from 10° to 90°, sorted by position:
2θ/deg	I_rel
11.73	43.9
18.23	49.6
31.81	87.6
33.16	65.1
34.85	41.7
35.28	100.0
36.95	41.2
41.46	50.1
54.34	33.4
66.47	28.9

Structure:
Cell lengths 3.376, 9.731, 11.939 Å; angles 90.00, 90.00, 90.00 degrees
Element x y z (fractional)
Tm (0.000, 0.000, 0.000)
Tm (0.500, 0.500, 0.500)
Sc (0.000, 0.225, 0.369)
Sc (0.000, 0.225, 0.631)
Sc (0.000, 0.500, 0.000)
Sc (0.000, 0.775, 0.369)
Sc (0.000, 0.775, 0.631)
Sc (0.500, 0.000, 0.500)
Sc (0.500, 0.275, 0.131)
Sc (0.500, 0.275, 0.869)
Sc (0.500, 0.725, 0.131)
Sc (0.500, 0.725, 0.869)
Cd (0.000, 0.500, 0.257)
Cd (0.000, 0.500, 0.743)
Cd (0.500, 0.000, 0.243)
Cd (0.500, 0.000, 0.757)

=====

This entry pairs a crystal structure of Y4SnRu with its theoretical powder X-ray diffraction pattern. Radiation: CuKα. Structure: a cell relaxed with PBE.
No peak broadening, texture or thermal motion is included.

Most intense lines, 2θ from 10° to 90°, sorted by position:
2θ/deg	I_rel
13.15	30.9
29.87	31.1
30.67	59.3
31.06	33.3
33.94	26.2
34.90	20.0
35.16	100.0
35.44	43.9
38.94	31.0
40.48	26.4

Structure:
Cell lengths 8.089, 8.089, 6.165 Å; angles 103.83, 103.83, 112.62 degrees
Element x y z (fractional)
Y (0.058, 0.718, 0.929)
Y (0.212, 0.351, 0.668)
Y (0.282, 0.942, 0.571)
Y (0.351, 0.212, 0.168)
Y (0.649, 0.788, 0.832)
Y (0.718, 0.058, 0.429)
Y (0.788, 0.649, 0.332)
Y (0.942, 0.282, 0.071)
Sn (0.371, 0.629, 0.250)
Sn (0.629, 0.371, 0.750)
Ru (0.000, 0.000, 0.250)
Ru (0.000, 0.000, 0.750)

=====

This entry pairs a crystal structure of Ac2Al4Ga3Au with its theoretical powder X-ray diffraction pattern. Radiation: CuKα. Structure: a cell relaxed with PBE.
No peak broadening, texture or thermal motion is included.

Most intense lines, 2θ from 10° to 90°, sorted by position:
2θ/deg	I_rel
21.34	45.6
29.16	15.6
31.92	57.8
32.62	100.0
39.90	44.5
46.88	23.0
51.98	29.9
59.23	15.7
63.21	19.0
67.88	27.6

Structure:
Cell lengths 4.519, 4.519, 10.727 Å; angles 90.00, 90.00, 90.00 degrees
Element x y z (fractional)
Ac (0.000, 0.500, 0.247)
Ac (0.500, 0.000, 0.753)
Al (0.000, 0.000, 0.500)
Al (0.000, 0.500, 0.876)
Al (0.500, 0.000, 0.124)
Al (0.500, 0.500, 0.500)
Ga (0.000, 0.000, 0.000)
Ga (0.000, 0.500, 0.634)
Ga (0.500, 0.000, 0.366)
Au (0.500, 0.500, 0.000)

=====

This entry pairs a crystal structure of AcCd5As4 with its theoretical powder X-ray diffraction pattern. Radiation: CuKα. Structure: a cell relaxed with PBE.
No peak broadening, texture or thermal motion is included.

Most intense lines, 2θ from 10° to 90°, sorted by position:
2θ/deg	I_rel
12.40	17.7
23.14	20.5
26.65	41.2
30.60	100.0
32.19	15.2
35.02	27.4
40.88	27.6
42.26	70.3
45.00	15.2
75.38	18.0

Structure:
Cell lengths 8.955, 8.955, 8.955 Å; angles 151.46, 126.52, 61.73 degrees
Element x y z (fractional)
Ac (0.000, 0.000, 0.000)
Cd (0.045, 0.325, 0.720)
Cd (0.395, 0.675, 0.720)
Cd (0.500, 0.000, 0.500)
Cd (0.605, 0.325, 0.280)
Cd (0.955, 0.675, 0.280)
As (0.215, 0.215, 0.000)
As (0.278, 0.500, 0.778)
As (0.722, 0.500, 0.222)
As (0.785, 0.785, 0.000)

=====

This entry pairs a crystal structure of CdIn2Sb2 with its theoretical powder X-ray diffraction pattern. Radiation: CuKα. Structure: a cell relaxed with PBE.
No peak broadening, texture or thermal motion is included.

Most intense lines, 2θ from 10° to 90°, sorted by position:
2θ/deg	I_rel
26.88	9.4
32.77	100.0
33.95	49.7
43.35	7.1
45.22	21.1
50.49	9.0
57.74	20.7
64.43	25.3
75.56	8.5
89.37	6.5

Structure:
Cell lengths 8.349, 8.349, 4.010 Å; angles 90.00, 90.00, 90.00 degrees
Element x y z (fractional)
Cd (0.000, 0.000, 0.000)
Cd (0.500, 0.500, 0.000)
In (0.149, 0.351, 0.000)
In (0.351, 0.851, 0.000)
In (0.649, 0.149, 0.000)
In (0.851, 0.649, 0.000)
Sb (0.146, 0.646, 0.500)
Sb (0.354, 0.146, 0.500)
Sb (0.646, 0.854, 0.500)
Sb (0.854, 0.354, 0.500)

=====

This entry pairs a crystal structure of YZnTe2 with its theoretical powder X-ray diffraction pattern. Radiation: CuKα. Structure: a cell relaxed with PBE.
No peak broadening, texture or thermal motion is included.

Most intense lines, 2θ from 10° to 90°, sorted by position:
2θ/deg	I_rel
27.11	100.0
35.58	86.4
41.66	56.3
46.74	19.4
50.42	17.9
55.91	22.8
67.40	14.8
70.27	19.6
72.09	20.8
76.04	9.2

Structure:
Cell lengths 4.336, 4.336, 20.445 Å; angles 90.00, 90.00, 120.00 degrees
Element x y z (fractional)
Y (0.000, 0.999, 0.333)
Y (0.001, 0.001, 0.000)
Y (0.999, 0.000, 0.667)
Zn (0.000, 0.001, 0.833)
Zn (0.001, 0.000, 0.167)
Zn (0.999, 0.999, 0.500)
Te (0.333, 0.666, 0.423)
Te (0.333, 0.667, 0.757)
Te (0.334, 0.667, 0.090)
Te (0.666, 0.333, 0.577)
Te (0.667, 0.333, 0.243)
Te (0.667, 0.334, 0.910)

=====

This entry pairs a crystal structure of AlSn with its theoretical powder X-ray diffraction pattern. Radiation: CuKα. Structure: a cell relaxed with PBE.
No peak broadening, texture or thermal motion is included.

Most intense lines, 2θ from 10° to 90°, sorted by position:
2θ/deg	I_rel
22.56	100.0
24.45	34.4
29.98	69.8
33.43	25.9
38.42	22.1
41.87	97.5
49.48	35.4
61.58	16.3
71.85	20.7
72.62	14.0

Structure:
Cell lengths 3.267, 4.686, 7.283 Å; angles 90.00, 90.00, 90.00 degrees
Element x y z (fractional)
Al (0.000, 0.000, 0.000)
Al (0.500, 0.500, 0.500)
Sn (0.000, 0.500, 0.187)
Sn (0.500, 0.000, 0.687)

=====

This entry pairs a crystal structure of Al7Cu6 with its theoretical powder X-ray diffraction pattern. Radiation: CuKα. Structure: a cell relaxed with PBE.
No peak broadening, texture or thermal motion is included.

Most intense lines, 2θ from 10° to 90°, sorted by position:
2θ/deg	I_rel
34.17	100.0
35.04	19.7
39.83	26.1
40.73	63.3
41.49	33.6
43.82	31.1
47.54	17.0
49.75	20.0
71.96	24.6
78.41	23.0

Structure:
Cell lengths 8.802, 8.802, 8.802 Å; angles 34.69, 34.69, 34.69 degrees
Element x y z (fractional)
Al (0.000, 0.000, 0.000)
Al (0.084, 0.084, 0.578)
Al (0.084, 0.578, 0.084)
Al (0.422, 0.916, 0.916)
Al (0.578, 0.084, 0.084)
Al (0.916, 0.422, 0.916)
Al (0.916, 0.916, 0.422)
Cu (0.166, 0.166, 0.166)
Cu (0.338, 0.338, 0.338)
Cu (0.443, 0.443, 0.443)
Cu (0.557, 0.557, 0.557)
Cu (0.662, 0.662, 0.662)
Cu (0.834, 0.834, 0.834)